Simulated X-ray powder pattern of NaCeAgTe4 for Cu Kα (weighted mean of Kα1 and Kα2), from a GGA-PBE-relaxed structure.
Peak positions follow from Bragg's law for the DFT cell and can differ from measured ones.

Main lines, low angle first (10 to 90 degrees two-theta):
hkl 0 0 3, 2θ = 13.0°, rel. 34
hkl 1 1 1, 2θ = 28.7°, rel. 17
hkl 1 1 2, 2θ = 29.7°, rel. 48
hkl 0 0 7, 2θ = 30.7°, rel. 20
hkl 1 1 3, 2θ = 31.3°, rel. 34
hkl 1 1 4, 2θ = 33.4°, rel. 100
hkl 1 0 7, 2θ = 36.8°, rel. 25
hkl 1 1 6, 2θ = 39.0°, rel. 17
hkl 2 0 0, 2θ = 40.5°, rel. 65
hkl 2 0 7, 2θ = 51.6°, rel. 18
hkl 2 2 0, 2θ = 58.6°, rel. 22
hkl 3 1 4, 2θ = 69.2°, rel. 27

Cell and atoms:
```
data_NaCeAgTe4
_cell_length_a 4.456
_cell_length_b 4.456
_cell_length_c 20.410
_cell_angle_alpha 90.00
_cell_angle_beta 90.00
_cell_angle_gamma 90.00
_space_group_name_H-M_alt 'P 4/n m m'
_space_group_IT_number 129
loop_
_space_group_symop_operation_xyz
'x,y,z'
'-x,-y,-z'
'-y+1/2,x,z'
'y+1/2,-x,-z'
'-x+1/2,-y+1/2,z'
'x+1/2,y+1/2,-z'
'y,-x+1/2,z'
'-y,x+1/2,-z'
'x+1/2,-y,-z'
'-x+1/2,y,z'
'-y,-x,-z'
'y,x,z'
'-x,y+1/2,-z'
'x,-y+1/2,z'
'y+1/2,x+1/2,-z'
'-y+1/2,-x+1/2,z'
loop_
_atom_site_label
_atom_site_fract_x
_atom_site_fract_y
_atom_site_fract_z
_atom_site_occupancy
Na1 0.250 0.250 0.137 1
Ce1 0.250 0.250 0.604 1
Ag1 0.250 0.750 0.000 1
Te1 0.250 0.250 0.442 1
Te2 0.250 0.250 0.909 1
Te3 0.250 0.750 0.277 1
```